SrNiP2O7: calculated powder diffraction line list (Cu Kα, 1.54184 Å), based on a GGA+U-relaxed structure.
Intensities are scaled so that the largest is 1000.

Cell and atoms:
a b c (Å): 5.336 8.358 13.861
angles (deg): 90.00 112.18 90.00
Space group P2_1/c (No. 14)
Asymmetric unit:
Sr1 0.005 0.161 0.219
Ni1 0.298 0.648 0.612
P1 0.328 0.198 0.019
P2 0.416 0.036 0.666
O1 0.101 0.187 0.911
O2 0.195 0.061 0.709
O3 0.270 0.097 0.101
O4 0.317 0.116 0.552
O5 0.318 0.620 0.765
O6 0.385 0.667 0.478
O7 0.478 0.639 0.153

Principal peaks in the range 10° ≤ 2θ ≤ 90°, by intensity:
two_theta	d [Å]	I/Imax
26.60	3.351	1000
27.10	3.290	720
28.90	3.089	640
33.59	2.668	511
32.90	2.723	415
29.87	2.991	412
43.68	2.072	374
30.60	2.922	371